1.
LiLuCdSi: simulated powder XRD pattern (Cu Kα, 1.54184 Å), based on a DFT-relaxed cell (GGA-PBE, Alexandria).
Lines closer than 0.1° are merged.

Cell and atoms:
```
data_LiLuCdSi
_symmetry_space_group_name_H-M 'P 1'
_symmetry_Int_Tables_number 1
_cell_length_a 6.8223
_cell_length_b 6.8223
_cell_length_c 6.8223
_cell_angle_alpha 90.00
_cell_angle_beta 90.00
_cell_angle_gamma 90.00
loop_
_symmetry_equiv_pos_as_xyz
'x,y,z'
loop_
_atom_site_label
_atom_site_fract_x
_atom_site_fract_y
_atom_site_fract_z
_atom_site_occupancy
Li1 0.0000 0.0000 0.0000 1
Li2 0.0000 0.5000 0.5000 1
Li3 0.5000 0.0000 0.5000 1
Li4 0.5000 0.5000 0.0000 1
Lu1 0.0000 0.0000 0.5000 1
Lu2 0.0000 0.5000 0.0000 1
Lu3 0.5000 0.0000 0.0000 1
Lu4 0.5000 0.5000 0.5000 1
Cd1 0.2500 0.2500 0.7500 1
Cd2 0.2500 0.7500 0.2500 1
Cd3 0.7500 0.2500 0.2500 1
Cd4 0.7500 0.7500 0.7500 1
Si1 0.2500 0.2500 0.2500 1
Si2 0.2500 0.7500 0.7500 1
Si3 0.7500 0.2500 0.7500 1
Si4 0.7500 0.7500 0.2500 1
```

Peak list (10 most intense, 2θ from 10° to 80°, by angle)
Position (°2θ), I/Imax
22.57, 82.4
26.12, 1.3
37.28, 100.0
44.02, 43.4
53.74, 17.2
59.02, 18.1
60.71, 0.8
67.23, 34.8
71.91, 13.4
79.47, 10.9



2.
Li3Mg6Cd: simulated powder XRD pattern (Cu Kα, 1.54184 Å), based on a DFT-relaxed cell (GGA-PBE, Alexandria).
Lines closer than 0.1° are merged.

Cell and atoms:
```
data_Li3Mg6Cd
_symmetry_space_group_name_H-M 'P 1'
_symmetry_Int_Tables_number 1
_cell_length_a 8.1961
_cell_length_b 5.0675
_cell_length_c 10.9422
_cell_angle_alpha 90.00
_cell_angle_beta 110.65
_cell_angle_gamma 90.00
loop_
_symmetry_equiv_pos_as_xyz
'x,y,z'
loop_
_atom_site_label
_atom_site_fract_x
_atom_site_fract_y
_atom_site_fract_z
_atom_site_occupancy
Li1 0.0983 0.2500 0.2286 1
Li2 0.2978 0.2500 0.0270 1
Li3 0.3131 0.7500 0.3737 1
Li4 0.6869 0.2500 0.6263 1
Li5 0.7022 0.7500 0.9730 1
Li6 0.9017 0.7500 0.7714 1
Mg1 0.0816 0.2500 0.7247 1
Mg2 0.1031 0.7500 0.0730 1
Mg3 0.2899 0.2500 0.5235 1
Mg4 0.2944 0.7500 0.8683 1
Mg5 0.4923 0.2500 0.3281 1
Mg6 0.4966 0.2500 0.8340 1
Mg7 0.5034 0.7500 0.1660 1
Mg8 0.5077 0.7500 0.6719 1
Mg9 0.7056 0.2500 0.1317 1
Mg10 0.7101 0.7500 0.4765 1
Mg11 0.8969 0.2500 0.9270 1
Mg12 0.9184 0.7500 0.2753 1
Cd1 0.1086 0.7500 0.5734 1
Cd2 0.8914 0.2500 0.4266 1
```

Peak list (12 most intense, 2θ from 10° to 80°, by angle)
Position (°2θ), I/Imax
11.54, 34.5
11.73, 100.0
17.10, 42.3
21.01, 20.0
24.72, 31.2
28.01, 23.0
29.20, 22.6
33.79, 19.8
35.43, 43.5
37.38, 78.8
37.76, 57.8
38.29, 41.3



3.
LiMg2Cd2: simulated powder XRD pattern (Cu Kα, 1.54184 Å), based on a DFT-relaxed cell (GGA-PBE, Alexandria).
Lines closer than 0.1° are merged.

Cell and atoms:
```
data_LiMg2Cd2
_symmetry_space_group_name_H-M 'P 1'
_symmetry_Int_Tables_number 1
_cell_length_a 5.7862
_cell_length_b 5.7862
_cell_length_c 8.5784
_cell_angle_alpha 106.28
_cell_angle_beta 106.28
_cell_angle_gamma 49.40
loop_
_symmetry_equiv_pos_as_xyz
'x,y,z'
loop_
_atom_site_label
_atom_site_fract_x
_atom_site_fract_y
_atom_site_fract_z
_atom_site_occupancy
Li1 0.2419 0.2419 0.2658 1
Li2 0.7581 0.7581 0.7342 1
Mg1 0.3426 0.3426 0.9530 1
Mg2 0.4501 0.4501 0.6511 1
Mg3 0.5499 0.5499 0.3489 1
Mg4 0.6574 0.6574 0.0470 1
Cd1 0.0469 0.0469 0.8548 1
Cd2 0.1522 0.1522 0.5643 1
Cd3 0.8478 0.8478 0.4357 1
Cd4 0.9531 0.9531 0.1452 1
```

Peak list (12 most intense, 2θ from 10° to 80°, by angle)
Position (°2θ), I/Imax
20.40, 71.0
21.80, 18.8
23.56, 31.1
24.43, 15.0
32.26, 20.1
35.87, 37.3
36.53, 67.9
37.14, 100.0
44.47, 14.3
52.63, 23.9
66.63, 13.2
66.92, 16.2



4.
Li3Mg5Cd3: simulated powder XRD pattern (Cu Kα, 1.54184 Å), based on a DFT-relaxed cell (GGA-PBE, Alexandria).
Lines closer than 0.1° are merged.

Cell and atoms:
```
data_Li3Mg5Cd3
_symmetry_space_group_name_H-M 'P 1'
_symmetry_Int_Tables_number 1
_cell_length_a 9.7784
_cell_length_b 9.7784
_cell_length_c 2.9647
_cell_angle_alpha 90.00
_cell_angle_beta 90.00
_cell_angle_gamma 120.00
loop_
_symmetry_equiv_pos_as_xyz
'x,y,z'
loop_
_atom_site_label
_atom_site_fract_x
_atom_site_fract_y
_atom_site_fract_z
_atom_site_occupancy
Li1 0.0000 0.8381 0.0000 1
Li2 0.1619 0.1619 0.0000 1
Li3 0.8381 0.0000 0.0000 1
Mg1 0.0000 0.3312 0.0000 1
Mg2 0.3312 0.0000 0.0000 1
Mg3 0.3333 0.6667 0.0000 1
Mg4 0.6667 0.3333 0.0000 1
Mg5 0.6688 0.6688 0.0000 1
Cd1 0.0000 0.5971 0.5000 1
Cd2 0.4029 0.4029 0.5000 1
Cd3 0.5971 0.0000 0.5000 1
```

Peak list (12 most intense, 2θ from 10° to 80°, by angle)
Position (°2θ), I/Imax
10.45, 53.8
18.14, 100.0
20.98, 41.2
27.87, 36.2
31.70, 46.9
35.41, 92.6
37.02, 33.4
38.32, 63.4
41.52, 25.4
49.51, 42.4
56.64, 18.1
63.23, 17.8